Diffraction record for PuTl2ReO6. The powder XRD pattern is theoretical, not measured: it uses a structure optimized by DFT (PBE) and Cu Kα X-rays.

Main lines, in order of rising 2θ (2θ = 10–90°):
26.03°, 3.424 Å, intensity 100
28.35°, 3.148 Å, intensity 91
30.00°, 2.979 Å, intensity 38
30.75°, 2.907 Å, intensity 28
33.71°, 2.659 Å, intensity 27
43.50°, 2.081 Å, intensity 20
45.74°, 1.983 Å, intensity 30
50.90°, 1.794 Å, intensity 17
52.26°, 1.751 Å, intensity 16
54.50°, 1.684 Å, intensity 27

Cell and atoms:
Lattice parameters (Å, degrees): 6.824 6.824 5.356 106.79 106.79 51.76
Positions (direct):
Pu 0.000 0.000 0.000
Tl 0.279 0.279 0.778
Tl 0.721 0.721 0.222
Re 0.500 0.500 0.500
O 0.151 0.151 0.227
O 0.230 0.669 0.244
O 0.331 0.770 0.756
O 0.669 0.230 0.244
O 0.770 0.331 0.756
O 0.849 0.849 0.773